Structure and theoretical X-ray diffraction stick pattern of SrNiCl4 (a cell relaxed with GGA-PBE; λ = 1.5418 Å (Cu Kα)).

Atomic structure:
```
SrNiCl4
1.0
6.808 0.000 0.000
0.000 6.808 0.000
0.000 0.000 7.357
Sr Ni Cl
2 2 8
direct
0.000 0.000 0.000 Sr
0.500 0.500 0.500 Sr
0.000 0.500 0.750 Ni
0.500 0.000 0.250 Ni
0.226 0.272 0.749 Cl
0.228 0.726 0.751 Cl
0.272 0.774 0.251 Cl
0.274 0.228 0.249 Cl
0.726 0.772 0.249 Cl
0.728 0.226 0.251 Cl
0.772 0.274 0.751 Cl
0.774 0.728 0.749 Cl
```

Principal peaks in the range 2θ from 5° to 70°, by angle:
d [Å]  2θ/deg  I (rel.)
4.997  17.75  100
3.679  24.19  13
2.923  30.59  42
2.813  31.81  30
2.498  35.95  27
2.407  37.36  39
2.307  39.04  13
1.858  49.03  19
1.829  49.86  18
1.461  63.68  15